No. 1
Starting from a DFT-relaxed cell (PBE, the Materials Project), the XRD peak list of Ac2CuSi was calculated for λ = 1.5418 Å (Cu Kα).

Cell and atoms:
Cell lengths 7.646, 7.646, 7.646 Å; angles 90.00, 90.00, 90.00 degrees
Fractional coordinates of all 16 atoms:
Ac: 0.250 0.250 0.250
Ac: 0.250 0.250 0.750
Ac: 0.250 0.750 0.250
Ac: 0.250 0.750 0.750
Ac: 0.750 0.250 0.250
Ac: 0.750 0.250 0.750
Ac: 0.750 0.750 0.250
Ac: 0.750 0.750 0.750
Cu: 0.000 0.000 0.000
Cu: 0.000 0.500 0.500
Cu: 0.500 0.000 0.500
Cu: 0.500 0.500 0.000
Si: 0.000 0.000 0.500
Si: 0.000 0.500 0.000
Si: 0.500 0.000 0.000
Si: 0.500 0.500 0.500

Peak list (9 most intense, 5 to 70 degrees two-theta, sorted by position)
| 2θ/deg | I_rel |
| --- | --- |
| 20.11 | 1 |
| 23.27 | 48 |
| 33.14 | 100 |
| 39.07 | 1 |
| 40.88 | 15 |
| 47.57 | 18 |
| 53.60 | 22 |
| 59.20 | 39 |
| 69.55 | 12 |

=====

No. 2
Starting from a DFT-relaxed cell (PBE, the Materials Project), the XRD peak list of PrSi2Ir3 was calculated for λ = 1.5418 Å (Cu Kα).

Cell and atoms:
Cell lengths 6.727, 6.727, 6.727 Å; angles 114.60, 86.28, 130.43 degrees
Fractional coordinates of all 12 atoms:
Pr: 0.471 0.221 0.250
Pr: 0.529 0.779 0.750
Si: 0.122 0.701 0.421
Si: 0.219 0.299 0.921
Si: 0.781 0.701 0.079
Si: 0.878 0.299 0.579
Ir: 0.000 0.000 0.500
Ir: 0.000 0.219 0.219
Ir: 0.000 0.500 0.000
Ir: 0.000 0.781 0.781
Ir: 0.500 0.219 0.719
Ir: 0.500 0.781 0.281

Peak list (12 most intense, 5 to 70 degrees two-theta, sorted by position)
| 2θ/deg | I_rel |
| --- | --- |
| 24.50 | 35 |
| 30.64 | 91 |
| 36.62 | 52 |
| 36.75 | 100 |
| 40.42 | 69 |
| 44.55 | 23 |
| 44.68 | 63 |
| 50.21 | 20 |
| 55.68 | 22 |
| 55.82 | 16 |
| 63.82 | 29 |
| 66.01 | 22 |

=====

No. 3
Starting from a DFT-relaxed cell (PBE, the Materials Project), the XRD peak list of Th2CuTc was calculated for λ = 1.5418 Å (Cu Kα).

Cell and atoms:
Cell lengths 7.151, 7.151, 7.151 Å; angles 90.00, 90.00, 90.00 degrees
Fractional coordinates of all 16 atoms:
Th: 0.250 0.250 0.250
Th: 0.250 0.250 0.750
Th: 0.250 0.750 0.250
Th: 0.250 0.750 0.750
Th: 0.750 0.250 0.250
Th: 0.750 0.250 0.750
Th: 0.750 0.750 0.250
Th: 0.750 0.750 0.750
Cu: 0.000 0.000 0.000
Cu: 0.000 0.500 0.500
Cu: 0.500 0.000 0.500
Cu: 0.500 0.500 0.000
Tc: 0.000 0.000 0.500
Tc: 0.000 0.500 0.000
Tc: 0.500 0.000 0.000
Tc: 0.500 0.500 0.500

Peak list (7 most intense, 5 to 70 degrees two-theta, sorted by position)
| 2θ/deg | I_rel |
| --- | --- |
| 21.52 | 1 |
| 24.90 | 24 |
| 35.51 | 100 |
| 43.86 | 8 |
| 51.09 | 18 |
| 57.65 | 11 |
| 63.76 | 37 |

=====

- Number 2 is which compound?
  PrSi2Ir3